# 1
# Mn2Hg3Pd7
Simulated powder diffractogram, Cu Kα (weighted mean of Kα1 and Kα2). Input: a DFT-relaxed cell (GGA-PBE, Alexandria).

Largest 10 diffraction maxima, most intense first, 5 to 70 degrees two-theta:
| 2theta | I/Imax |
| --- | --- |
| 38.54 | 100 |
| 38.71 | 99 |
| 43.23 | 72 |
| 24.30 | 42 |
| 66.64 | 39 |
| 48.09 | 27 |
| 62.56 | 12 |
| 63.03 | 12 |
| 41.81 | 11 |
| 50.07 | 7 |

Crystal structure
```
Mn2Hg3Pd7
1.0
0.000 3.784 8.909
2.950 0.000 8.909
2.950 3.784 0.000
Mn Hg Pd
2 3 7
Direct
0.167 0.167 0.833
0.833 0.833 0.167
0.000 0.000 0.000
0.334 0.334 0.666
0.666 0.666 0.334
0.085 0.085 0.415
0.250 0.250 0.250
0.415 0.415 0.085
0.500 0.500 0.500
0.585 0.585 0.915
0.750 0.750 0.750
0.915 0.915 0.585
```

# 2
# LaHoTh2Bi5
Simulated powder diffractogram, Cu Kα (weighted mean of Kα1 and Kα2). Input: a DFT-relaxed cell (GGA-PBE, Alexandria).

Largest 10 diffraction maxima, most intense first, 5 to 70 degrees two-theta:
| 2theta | I/Imax |
| --- | --- |
| 33.15 | 100 |
| 27.73 | 78 |
| 23.27 | 69 |
| 7.38 | 66 |
| 32.43 | 65 |
| 45.20 | 58 |
| 29.84 | 44 |
| 47.58 | 37 |
| 57.18 | 29 |
| 24.45 | 27 |

Crystal structure
```
LaHoTh2Bi5
1.0
5.405 0.000 0.000
0.000 5.405 0.000
0.000 0.000 11.977
La Ho Th Bi
1 1 2 5
Direct
0.000 0.000 0.000
0.000 0.000 0.500
0.500 0.500 0.301
0.500 0.500 0.699
0.000 0.000 0.253
0.000 0.000 0.747
0.000 0.500 0.500
0.500 0.000 0.500
0.500 0.500 0.000
```

# 3
# SmSc2Be
Simulated powder diffractogram, Cu Kα (weighted mean of Kα1 and Kα2). Input: a DFT-relaxed cell (GGA-PBE, Alexandria).

Largest 10 diffraction maxima, most intense first, 5 to 70 degrees two-theta:
| 2theta | I/Imax |
| --- | --- |
| 29.45 | 100 |
| 34.85 | 92 |
| 10.49 | 84 |
| 39.19 | 43 |
| 51.35 | 33 |
| 31.84 | 33 |
| 68.23 | 25 |
| 65.10 | 20 |
| 51.68 | 17 |
| 61.99 | 17 |

Crystal structure
```
SmSc2Be
1.0
3.251 0.000 0.000
0.000 3.251 0.000
0.000 0.000 8.432
Sm Sc Be
1 2 1
Direct
0.000 0.000 0.000
0.500 0.500 0.317
0.500 0.500 0.683
0.000 0.000 0.500
```

# 4
# LaNiIr
Simulated powder diffractogram, Cu Kα (weighted mean of Kα1 and Kα2). Input: a DFT-relaxed cell (GGA-PBE, Alexandria).

Largest 10 diffraction maxima, most intense first, 5 to 70 degrees two-theta:
| 2theta | I/Imax |
| --- | --- |
| 33.88 | 100 |
| 41.28 | 93 |
| 42.33 | 56 |
| 37.92 | 53 |
| 19.97 | 47 |
| 26.33 | 43 |
| 42.57 | 39 |
| 40.59 | 38 |
| 22.59 | 36 |
| 32.93 | 30 |

Crystal structure
```
LaNiIr
1.0
5.326 -2.135 0.000
5.326 2.135 0.000
-1.736 0.000 5.441
La Ni Ir
2 2 2
Direct
0.000 0.000 0.000
0.218 0.218 0.617
0.320 0.320 0.203
0.503 0.503 0.608
0.705 0.705 0.994
0.901 0.901 0.422
```

# 5
# Y2AlZn3Pt4
Simulated powder diffractogram, Cu Kα (weighted mean of Kα1 and Kα2). Input: a DFT-relaxed cell (GGA-PBE, Alexandria).

Largest 10 diffraction maxima, most intense first, 5 to 70 degrees two-theta:
| 2theta | I/Imax |
| --- | --- |
| 34.77 | 100 |
| 43.43 | 72 |
| 45.84 | 58 |
| 33.08 | 48 |
| 31.49 | 45 |
| 47.82 | 32 |
| 22.91 | 25 |
| 27.13 | 25 |
| 63.10 | 23 |
| 8.27 | 23 |

Crystal structure
```
Y2AlZn3Pt4
1.0
4.167 0.000 0.000
0.000 4.167 0.000
0.000 0.000 10.690
Y Al Zn Pt
2 1 3 4
Direct
0.000 0.500 0.239
0.500 0.000 0.761
0.000 0.000 0.500
0.000 0.500 0.865
0.500 0.000 0.135
0.500 0.500 0.500
0.000 0.000 0.000
0.000 0.500 0.635
0.500 0.000 0.365
0.500 0.500 0.000
```